Diffraction record for Ti4Nb5Bi2. The PXRD pattern is simulated, not measured: it uses a PBE-relaxed structure and Cu Kα.

```
data_Ti4Nb5Bi2
_symmetry_space_group_name_H-M 'P -1'
_symmetry_Int_Tables_number 2
_symmetry_space_group_name_Hall '-P 1'
_cell_length_a 3.0510
_cell_length_b 7.2624
_cell_length_c 9.7943
_cell_angle_alpha 92.96
_cell_angle_beta 94.04
_cell_angle_gamma 99.49
loop_
_atom_site_label
_atom_site_type_symbol
_atom_site_fract_x
_atom_site_fract_y
_atom_site_fract_z
_atom_site_occupancy
Ti1 Ti 0.1860 0.1717 0.3960 1
Ti2 Ti 0.2627 0.9333 0.8765 1
Nb1 Nb 0.0000 0.5000 0.5000 1
Nb2 Nb 0.1090 0.3206 0.9623 1
Nb3 Nb 0.4496 0.5885 0.7750 1
Bi1 Bi 0.3657 0.7964 0.3171 1
```

Main lines, most intense first (10° ≤ 2θ ≤ 90°):
(0 1 -4), 38.27 deg, I 100
(1 0 2), 36.41 deg, I 69
(-1 2 1), 36.68 deg, I 60
(1 1 -2), 37.51 deg, I 57
(0 2 3), 38.62 deg, I 52
(0 1 -1), 14.89 deg, I 28
(1 -3 3), 52.95 deg, I 21
(-1 1 5), 55.08 deg, I 19
(1 3 1), 54.78 deg, I 17
(1 2 -6), 69.32 deg, I 15